Structure and simulated powder XRD pattern of NdSm5Se8 (DFT lattice parameters and positions (GGA-PBE); a wavelength of 1.5418 Å).
Kinematic intensities with the Lorentz-polarization factor, no thermal factor.

Crystal structure
a = 7.731 Å, b = 7.731 Å, c = 7.731 Å
α = 108.10°, β = 108.10°, γ = 112.25°
Fractional positions:
1 Nd 0.000 0.000 0.000
2 Sm 0.124 0.216 0.590
3 Sm 0.250 0.750 0.500
4 Sm 0.466 0.876 0.092
5 Sm 0.626 0.534 0.410
6 Sm 0.784 0.374 0.908
7 Se 0.010 0.618 0.742
8 Se 0.242 0.485 0.113
9 Se 0.372 0.129 0.887
10 Se 0.382 0.124 0.392
11 Se 0.515 0.628 0.757
12 Se 0.732 0.990 0.608
13 Se 0.871 0.758 0.243
14 Se 0.876 0.268 0.258

Principal peaks in the range 2θ = 5–70°, low angle first:
Position (°2θ)	d [Å]	I (rel.)
24.23	3.673	28.7
24.89	3.578	34.2
31.16	2.871	51.3
31.33	2.855	100.0
32.70	2.739	61.6
37.20	2.417	41.9
37.65	2.389	63.7
38.39	2.345	34.6
46.67	1.946	24.8
48.05	1.893	26.0
49.64	1.836	16.2
51.43	1.777	35.2

***

Structure and simulated powder XRD pattern of Nd2Sm3Se4 (DFT lattice parameters and positions (GGA-PBE); a wavelength of 1.5418 Å).
Kinematic intensities with the Lorentz-polarization factor, no thermal factor.

Crystal structure
a = 7.200 Å, b = 7.200 Å, c = 10.113 Å
α = 117.85°, β = 117.85°, γ = 33.45°
Fractional positions:
1 Nd 0.096 0.096 0.402
2 Nd 0.904 0.904 0.598
3 Sm 0.297 0.297 0.202
4 Sm 0.500 0.500 0.000
5 Sm 0.703 0.703 0.798
6 Se 0.103 0.103 0.903
7 Se 0.302 0.302 0.699
8 Se 0.698 0.698 0.301
9 Se 0.897 0.897 0.097

Principal peaks in the range 2θ = 5–70°, low angle first:
Position (°2θ)	d [Å]	I (rel.)
26.28	3.392	34.2
26.44	3.371	11.8
30.39	2.941	51.4
30.52	2.929	100.0
43.47	2.082	37.6
43.74	2.070	74.1
51.62	1.771	11.0
53.94	1.700	9.8
54.15	1.694	20.1
54.44	1.685	9.6
63.24	1.470	6.2
63.53	1.464	12.0

***

Structure and simulated powder XRD pattern of Nd4SmSe5 (DFT lattice parameters and positions (GGA-PBE); a wavelength of 1.5418 Å).
Kinematic intensities with the Lorentz-polarization factor, no thermal factor.

Crystal structure
a = 15.254 Å, b = 15.254 Å, c = 15.254 Å
α = 164.12°, β = 164.12°, γ = 22.53°
Fractional positions:
1 Nd 0.101 0.101 0.000
2 Nd 0.303 0.303 0.000
3 Nd 0.697 0.697 0.000
4 Nd 0.899 0.899 0.000
5 Sm 0.500 0.500 0.000
6 Se 0.000 0.000 0.000
7 Se 0.202 0.202 0.000
8 Se 0.402 0.402 0.000
9 Se 0.598 0.598 0.000
10 Se 0.798 0.798 0.000

Principal peaks in the range 2θ = 5–70°, low angle first:
Position (°2θ)	d [Å]	I (rel.)
25.86	3.446	21.7
29.86	2.992	44.7
29.99	2.980	89.9
39.43	2.285	0.8
42.86	2.110	100.0
50.63	1.803	3.5
50.79	1.798	7.2
53.17	1.723	35.2
62.04	1.496	5.3
62.32	1.490	11.0
68.49	1.370	2.8
68.63	1.368	1.5

***

> Which formula does entry 2 have?

Nd2Sm3Se4